The following is a calculated XRD peak list of Hf2Ti3C4. It was derived from DFT lattice parameters and positions (GGA-PBE), using copper Kα.
Intensities are scaled so that the largest is 100.

Peak list (6 most intense, 2θ from 10° to 90°, by intensity)
- 34.6 deg, intensity 100
- 40.7 deg, intensity 88
- 13.0 deg, intensity 64
- 39.8 deg, intensity 49
- 35.1 deg, intensity 48
- 34.9 deg, intensity 47

Atomic structure:
a b c (Å): 5.406 5.406 7.716
angles (deg): 116.78 116.78 33.99
Positions (direct):
Hf 0.101 0.101 0.389
Hf 0.899 0.899 0.611
Ti 0.290 0.290 0.179
Ti 0.500 0.500 0.000
Ti 0.710 0.710 0.821
C 0.104 0.104 0.904
C 0.299 0.299 0.705
C 0.701 0.701 0.295
C 0.896 0.896 0.096


The following is a calculated XRD peak list of Ba8Al. It was derived from DFT lattice parameters and positions (GGA-PBE), using copper Kα.
Intensities are scaled so that the largest is 100.

Peak list (6 most intense, 2θ from 10° to 90°, by intensity)
- 26.4 deg, intensity 100
- 25.6 deg, intensity 48
- 45.7 deg, intensity 27
- 47.1 deg, intensity 18
- 36.5 deg, intensity 14
- 36.1 deg, intensity 12

Atomic structure:
a b c (Å): 10.685 10.685 10.685
angles (deg): 92.69 92.69 154.96
Positions (direct):
Ba 0.000 0.334 0.334
Ba 0.000 0.666 0.666
Ba 0.334 0.000 0.334
Ba 0.361 0.361 0.722
Ba 0.361 0.639 0.000
Ba 0.639 0.361 0.000
Ba 0.639 0.639 0.278
Ba 0.666 0.000 0.666
Al 0.000 0.000 0.000


The following is a calculated XRD peak list of ZnCo6Re. It was derived from DFT lattice parameters and positions (GGA-PBE), using copper Kα.
Intensities are scaled so that the largest is 100.

Peak list (6 most intense, 2θ from 10° to 90°, by intensity)
- 43.9 deg, intensity 100
- 51.1 deg, intensity 47
- 75.1 deg, intensity 23
- 24.9 deg, intensity 14
- 35.5 deg, intensity 12
- 15.2 deg, intensity 6

Atomic structure:
a b c (Å): 6.188 6.188 10.123
angles (deg): 90.00 90.00 109.38
Positions (direct):
Zn 0.000 0.000 0.248
Zn 0.000 0.000 0.752
Zn 0.251 0.749 0.500
Zn 0.749 0.251 0.500
Co 0.000 0.000 0.000
Co 0.000 0.000 0.500
Co 0.126 0.374 0.375
Co 0.126 0.374 0.625
Co 0.127 0.379 0.123
Co 0.127 0.379 0.877
Co 0.252 0.748 0.247
Co 0.252 0.748 0.753
Co 0.374 0.126 0.375
Co 0.374 0.126 0.625
Co 0.379 0.127 0.123
Co 0.379 0.127 0.877
Co 0.500 0.500 0.000
Co 0.500 0.500 0.500
Co 0.621 0.873 0.123
Co 0.621 0.873 0.877
Co 0.626 0.874 0.375
Co 0.626 0.874 0.625
Co 0.748 0.252 0.247
Co 0.748 0.252 0.753
Co 0.873 0.621 0.123
Co 0.873 0.621 0.877
Co 0.874 0.626 0.375
Co 0.874 0.626 0.625
Re 0.252 0.748 0.000
Re 0.500 0.500 0.254
Re 0.500 0.500 0.746
Re 0.748 0.252 0.000


The following is a calculated XRD peak list of BaIn4Au6. It was derived from DFT lattice parameters and positions (GGA-PBE), using copper Kα.
Intensities are scaled so that the largest is 100.

Peak list (6 most intense, 2θ from 10° to 90°, by intensity)
- 39.8 deg, intensity 100
- 32.4 deg, intensity 44
- 34.7 deg, intensity 34
- 38.2 deg, intensity 33
- 75.4 deg, intensity 25
- 29.5 deg, intensity 23

Atomic structure:
a b c (Å): 7.891 7.891 4.717
angles (deg): 90.00 90.00 120.00
Positions (direct):
Ba 0.000 0.000 0.000
In 0.125 0.724 0.500
In 0.276 0.401 0.500
In 0.599 0.875 0.500
In 0.667 0.333 0.000
Au 0.092 0.492 0.000
Au 0.400 0.908 0.000
Au 0.403 0.134 0.500
Au 0.508 0.600 0.000
Au 0.731 0.597 0.500
Au 0.866 0.269 0.500


The following is a calculated XRD peak list of K2PrAuCl6. It was derived from DFT lattice parameters and positions (GGA-PBE), using copper Kα.
Intensities are scaled so that the largest is 100.

Peak list (6 most intense, 2θ from 10° to 90°, by intensity)
- 16.2 deg, intensity 100
- 23.0 deg, intensity 98
- 32.7 deg, intensity 68
- 36.7 deg, intensity 54
- 46.9 deg, intensity 47
- 40.4 deg, intensity 47

Atomic structure:
a b c (Å): 7.742 7.742 7.742
angles (deg): 60.00 60.00 60.00
Positions (direct):
K 0.250 0.250 0.250
K 0.750 0.750 0.750
Pr 0.000 0.000 0.000
Au 0.500 0.500 0.500
Cl 0.250 0.250 0.750
Cl 0.250 0.750 0.250
Cl 0.250 0.750 0.750
Cl 0.750 0.250 0.250
Cl 0.750 0.250 0.750
Cl 0.750 0.750 0.250


The following is a calculated XRD peak list of BaPa4Se8. It was derived from DFT lattice parameters and positions (GGA-PBE), using copper Kα.
Intensities are scaled so that the largest is 100.

Peak list (6 most intense, 2θ from 10° to 90°, by intensity)
- 10.5 deg, intensity 100
- 33.8 deg, intensity 82
- 28.1 deg, intensity 36
- 45.9 deg, intensity 28
- 41.6 deg, intensity 26
- 26.0 deg, intensity 23

Atomic structure:
a b c (Å): 7.905 7.905 16.825
angles (deg): 90.00 90.00 120.00
Positions (direct):
Ba 0.000 0.000 0.000
Ba 0.000 0.000 0.500
Pa 0.000 0.000 0.250
Pa 0.000 0.000 0.750
Pa 0.006 0.503 0.250
Pa 0.497 0.503 0.250
Pa 0.497 0.994 0.250
Pa 0.503 0.006 0.750
Pa 0.503 0.497 0.750
Pa 0.994 0.497 0.750
Se 0.167 0.334 0.644
Se 0.167 0.334 0.856
Se 0.167 0.833 0.644
Se 0.167 0.833 0.856
Se 0.333 0.667 0.144
Se 0.333 0.667 0.356
Se 0.334 0.167 0.144
Se 0.334 0.167 0.356
Se 0.666 0.833 0.644
Se 0.666 0.833 0.856
Se 0.667 0.333 0.644
Se 0.667 0.333 0.856
Se 0.833 0.167 0.144
Se 0.833 0.167 0.356
Se 0.833 0.666 0.144
Se 0.833 0.666 0.356


The following is a calculated XRD peak list of Zn3Cd3B4O12. It was derived from DFT lattice parameters and positions (GGA-PBE), using copper Kα.
Intensities are scaled so that the largest is 100.

Peak list (6 most intense, 2θ from 10° to 90°, by intensity)
- 29.6 deg, intensity 100
- 36.6 deg, intensity 30
- 47.8 deg, intensity 25
- 20.9 deg, intensity 24
- 57.0 deg, intensity 18
- 61.6 deg, intensity 17

Atomic structure:
a b c (Å): 6.518 6.518 6.518
angles (deg): 81.43 81.43 81.43
Positions (direct):
Zn 0.004 0.692 0.304
Zn 0.304 0.004 0.692
Zn 0.692 0.304 0.004
Cd 0.179 0.508 0.801
Cd 0.508 0.801 0.179
Cd 0.801 0.179 0.508
B 0.115 0.115 0.115
B 0.370 0.370 0.370
B 0.632 0.632 0.632
B 0.886 0.886 0.886
O 0.004 0.950 0.698
O 0.177 0.931 0.239
O 0.183 0.472 0.459
O 0.239 0.177 0.931
O 0.443 0.714 0.736
O 0.459 0.183 0.472
O 0.472 0.459 0.183
O 0.698 0.004 0.950
O 0.714 0.736 0.443
O 0.736 0.443 0.714
O 0.931 0.239 0.177
O 0.950 0.698 0.004


The following is a calculated XRD peak list of TmSc4Ni5. It was derived from DFT lattice parameters and positions (GGA-PBE), using copper Kα.
Intensities are scaled so that the largest is 100.

Peak list (6 most intense, 2θ from 10° to 90°, by intensity)
- 39.7 deg, intensity 100
- 40.2 deg, intensity 49
- 72.7 deg, intensity 30
- 58.2 deg, intensity 16
- 71.6 deg, intensity 15
- 10.9 deg, intensity 14

Atomic structure:
a b c (Å): 3.170 3.170 16.298
angles (deg): 90.00 90.00 90.00
Positions (direct):
Tm 0.000 0.000 0.000
Sc 0.000 0.000 0.205
Sc 0.000 0.000 0.402
Sc 0.000 0.000 0.598
Sc 0.000 0.000 0.795
Ni 0.500 0.500 0.111
Ni 0.500 0.500 0.304
Ni 0.500 0.500 0.500
Ni 0.500 0.500 0.696
Ni 0.500 0.500 0.889